[1]
Starting from a cell relaxed with PBE+U, the PXRD pattern of Sr4LaMn5O15 was calculated for CuKα.
Peak positions follow from Bragg's law for the DFT cell and can differ from measured ones.

```
data_Sr4LaMn5O15
_chemical_formula_sum 'Sr8 La2 Mn10 O30'
_symmetry_space_group_name_H-M 'C 1 2/m 1'
_symmetry_Int_Tables_number 12
_cell_length_a 16.327
_cell_length_b 5.517
_cell_length_c 6.715
_cell_angle_alpha 90.00
_cell_angle_beta 105.05
_cell_angle_gamma 90.00
loop_
_symmetry_equiv_pos_as_xyz
'x,y,z'
'-x,-y,-z'
'-x,y,-z'
'x,-y,z'
'x+1/2,y+1/2,z'
'-x+1/2,-y+1/2,-z'
'-x+1/2,y+1/2,-z'
'x+1/2,-y+1/2,z'
loop_
_atom_site_label
_atom_site_type_symbol
_atom_site_fract_x
_atom_site_fract_y
_atom_site_fract_z
Sr1 Sr 0.100 0.000 0.401
Sr2 Sr 0.200 0.500 0.800
La1 La 0.000 0.500 0.000
Mn1 Mn 0.000 0.500 0.500
Mn2 Mn 0.101 0.000 0.901
Mn3 Mn 0.201 0.500 0.302
O1 O 0.000 0.000 0.000
O2 O 0.048 0.256 0.705
O3 O 0.098 0.500 0.394
O4 O 0.145 0.253 0.096
O5 O 0.201 0.000 0.804
O6 O 0.250 0.250 0.500
```

The 10 most intense peaks (10° ≤ 2θ ≤ 90°), in order of rising 2θ:
32.47 deg, I 51; 32.73 deg, I 100; 40.26 deg, I 24; 46.57 deg, I 38; 47.35 deg, I 18; 58.09 deg, I 38; 58.58 deg, I 19; 67.99 deg, I 11; 68.60 deg, I 21; 77.38 deg, I 8

=====

[2]
Starting from a cell relaxed with PBE+U, the PXRD pattern of MnSbO4 was calculated for CuKα.
Peak positions follow from Bragg's law for the DFT cell and can differ from measured ones.

```
data_MnSbO4
_chemical_formula_sum 'Mn2 Sb2 O8'
_symmetry_space_group_name_H-M 'P 1 21 1'
_symmetry_Int_Tables_number 4
_cell_length_a 5.648
_cell_length_b 5.646
_cell_length_c 5.658
_cell_angle_alpha 90.00
_cell_angle_beta 119.83
_cell_angle_gamma 90.00
loop_
_symmetry_equiv_pos_as_xyz
'x,y,z'
'-x,y+1/2,-z'
loop_
_atom_site_label
_atom_site_type_symbol
_atom_site_fract_x
_atom_site_fract_y
_atom_site_fract_z
Mn1 Mn 0.234 0.000 0.468
Sb1 Sb 0.260 0.251 0.000
O1 O 0.031 0.002 0.066
O2 O 0.050 0.274 0.600
O3 O 0.447 0.000 0.896
O4 O 0.450 0.226 0.399
```

The 10 most intense peaks (10° ≤ 2θ ≤ 90°), in order of rising 2θ:
18.07 deg, I 10; 24.06 deg, I 100; 35.47 deg, I 16; 36.63 deg, I 20; 36.73 deg, I 17; 45.43 deg, I 23; 51.89 deg, I 15; 52.06 deg, I 22; 71.43 deg, I 8; 78.15 deg, I 10

=====

[3]
Starting from a cell relaxed with PBE+U, the PXRD pattern of La7SmCo6Ag2O24 was calculated for CuKα.
Peak positions follow from Bragg's law for the DFT cell and can differ from measured ones.

```
data_La7SmCo6Ag2O24
_chemical_formula_sum 'La14 Sm2 Co12 Ag4 O48'
_symmetry_space_group_name_H-M 'C 1 m 1'
_symmetry_Int_Tables_number 8
_cell_length_a 11.006
_cell_length_b 11.019
_cell_length_c 7.885
_cell_angle_alpha 90.00
_cell_angle_beta 90.02
_cell_angle_gamma 90.00
loop_
_symmetry_equiv_pos_as_xyz
'x,y,z'
'x,-y,z'
'x+1/2,y+1/2,z'
'x+1/2,-y+1/2,z'
loop_
_atom_site_label
_atom_site_type_symbol
_atom_site_fract_x
_atom_site_fract_y
_atom_site_fract_z
La1 La 0.000 0.000 0.000
La2 La 0.000 0.000 0.486
La3 La 0.000 0.500 0.001
La4 La 0.250 0.250 0.001
La5 La 0.250 0.250 0.488
Sm1 Sm 0.000 0.500 0.483
Co1 Co 0.000 0.250 0.244
Co2 Co 0.249 0.500 0.244
Co3 Co 0.249 0.500 0.743
Co4 Co 0.250 0.000 0.244
Co5 Co 0.251 0.000 0.743
Ag1 Ag 0.000 0.250 0.744
O1 O 0.000 0.251 0.007
O2 O 0.000 0.255 0.481
O3 O 0.123 0.126 0.244
O4 O 0.123 0.375 0.246
O5 O 0.130 0.383 0.740
O6 O 0.132 0.118 0.743
O7 O 0.247 0.500 0.498
O8 O 0.250 0.000 0.989
O9 O 0.250 0.500 0.989
O10 O 0.252 0.000 0.499
O11 O 0.368 0.382 0.743
O12 O 0.369 0.117 0.740
O13 O 0.376 0.373 0.244
O14 O 0.378 0.125 0.246
```

The 10 most intense peaks (10° ≤ 2θ ≤ 90°), in order of rising 2θ:
32.31 deg, I 100; 32.52 deg, I 49; 39.94 deg, I 18; 46.04 deg, I 16; 46.66 deg, I 31; 57.50 deg, I 19; 57.89 deg, I 38; 67.64 deg, I 18; 68.12 deg, I 9; 77.44 deg, I 12

=====

[4]
Starting from a cell relaxed with PBE+U, the PXRD pattern of Ca2Ni2O5 was calculated for CuKα.
Peak positions follow from Bragg's law for the DFT cell and can differ from measured ones.

```
data_Ca2Ni2O5
_chemical_formula_sum 'Ca4 Ni4 O10'
_symmetry_space_group_name_H-M 'P b a m'
_symmetry_Int_Tables_number 55
_cell_length_a 5.350
_cell_length_b 10.314
_cell_length_c 3.786
_cell_angle_alpha 90.00
_cell_angle_beta 90.00
_cell_angle_gamma 90.00
loop_
_symmetry_equiv_pos_as_xyz
'x,y,z'
'-x,-y,-z'
'-x,-y,z'
'x,y,-z'
'x+1/2,-y+1/2,-z'
'-x+1/2,y+1/2,z'
'-x+1/2,y+1/2,-z'
'x+1/2,-y+1/2,z'
loop_
_atom_site_label
_atom_site_type_symbol
_atom_site_fract_x
_atom_site_fract_y
_atom_site_fract_z
Ca1 Ca 0.195 0.129 0.000
Ni1 Ni 0.228 0.374 0.500
O1 O 0.000 0.000 0.500
O2 O 0.080 0.712 0.500
O3 O 0.210 0.399 0.000
```

The 10 most intense peaks (10° ≤ 2θ ≤ 90°), in order of rising 2θ:
23.97 deg, I 23; 33.50 deg, I 31; 33.81 deg, I 100; 34.79 deg, I 34; 48.07 deg, I 25; 49.07 deg, I 32; 60.09 deg, I 14; 60.69 deg, I 13; 61.75 deg, I 22; 71.12 deg, I 21